This entry pairs a crystal structure of Er2Si3Rh with its calculated powder X-ray diffraction pattern. Radiation: λ = 1.5418 Å (Cu Kα). Structure: the GGA-PBE geometry in the Materials Project.
Neutral-atom scattering factors, no anomalous dispersion.

Main lines, by angle (2θ from 10° to 90°):
25.3 deg, I = 33
34.3 deg, I = 100
44.5 deg, I = 36
46.4 deg, I = 10
53.6 deg, I = 10
57.4 deg, I = 22
66.3 deg, I = 19
75.4 deg, I = 19
78.2 deg, I = 8
82.0 deg, I = 6

Structural model:
Lattice parameters (Å, degrees): 8.138 8.138 7.823 90.00 90.00 120.00
Sites, in units of the cell vectors:
Er 0.000 0.000 0.250
Er 0.000 0.000 0.750
Er 0.018 0.509 0.250
Er 0.491 0.509 0.250
Er 0.491 0.982 0.250
Er 0.509 0.018 0.750
Er 0.509 0.491 0.750
Er 0.982 0.491 0.750
Si 0.167 0.334 0.000
Si 0.167 0.334 0.500
Si 0.167 0.833 0.000
Si 0.167 0.833 0.500
Si 0.334 0.167 0.000
Si 0.334 0.167 0.500
Si 0.666 0.833 0.000
Si 0.666 0.833 0.500
Si 0.833 0.167 0.000
Si 0.833 0.167 0.500
Si 0.833 0.666 0.000
Si 0.833 0.666 0.500
Rh 0.333 0.667 0.533
Rh 0.333 0.667 0.967
Rh 0.667 0.333 0.033
Rh 0.667 0.333 0.467

---

This entry pairs a crystal structure of ErSi2Rh2 with its calculated powder X-ray diffraction pattern. Radiation: λ = 1.5418 Å (Cu Kα). Structure: the GGA-PBE geometry in the Materials Project.
Neutral-atom scattering factors, no anomalous dispersion.

Main lines, by angle (2θ from 10° to 90°):
23.7 deg, I = 26
34.9 deg, I = 26
36.1 deg, I = 100
44.7 deg, I = 30
51.2 deg, I = 17
57.9 deg, I = 12
58.7 deg, I = 15
65.0 deg, I = 24
70.2 deg, I = 10
76.7 deg, I = 28

Structural model:
Lattice parameters (Å, degrees): 4.057 4.057 9.948 90.00 90.00 90.00
Sites, in units of the cell vectors:
Er 0.000 0.000 0.000
Er 0.500 0.500 0.500
Si 0.000 0.000 0.379
Si 0.000 0.000 0.621
Si 0.500 0.500 0.121
Si 0.500 0.500 0.879
Rh 0.000 0.500 0.250
Rh 0.000 0.500 0.750
Rh 0.500 0.000 0.250
Rh 0.500 0.000 0.750